This entry pairs a crystal structure of MgV4O7F5 with its calculated X-ray powder pattern. Radiation: Cu Kα X-rays. Structure: DFT lattice parameters and positions (GGA+U).

Peak list (10 most intense, 10° ≤ 2θ ≤ 80°, sorted by position)
h k l  2theta  d (Å)  I/Imax
-1 1 1  23.5  3.787  100.0
0 1 -2  24.5  3.630  50.5
0 1 2  33.0  2.717  11.0
1 1 -1  33.4  2.683  11.8
1 -2 1  33.5  2.674  11.1
1 0 -3  35.0  2.566  13.1
1 0 3  40.0  2.256  11.1
2 0 2  48.0  1.895  11.0
-2 2 2  48.1  1.891  15.4
-1 2 3  53.5  1.713  14.6

Cell and atoms:
```
data_MgV4O7F5
_cell_length_a 5.280
_cell_length_b 5.360
_cell_length_c 8.815
_cell_angle_alpha 104.22
_cell_angle_beta 90.06
_cell_angle_gamma 119.29
_symmetry_space_group_name_H-M 'P 1'
_symmetry_Int_Tables_number 1
loop_
_symmetry_equiv_pos_as_xyz
'x,y,z'
loop_
_atom_site_label
_atom_site_type_symbol
_atom_site_fract_x
_atom_site_fract_y
_atom_site_fract_z
_atom_site_occupancy
Mg1 Mg 0.000 0.000 0.000 1
V1 V 0.059 0.123 0.351 1
V2 V 0.352 0.656 0.105 1
V3 V 0.547 0.153 0.854 1
V4 V 0.751 0.599 0.591 1
O1 O 0.243 0.365 0.240 1
O2 O 0.307 0.867 0.991 1
O3 O 0.349 0.349 0.945 1
O4 O 0.389 0.380 0.536 1
O5 O 0.753 0.854 0.167 1
O6 O 0.760 0.386 0.746 1
O7 O 0.841 0.853 0.486 1
F1 F 0.209 0.869 0.694 1
F2 F 0.253 0.887 0.295 1
F3 F 0.728 0.865 0.793 1
F4 F 0.857 0.350 0.447 1
F5 F 0.867 0.327 0.033 1
```